# 1
Diffraction record for Eu3Dy. The X-ray powder pattern is theoretical, not measured: it uses a crystal structure in the Materials Project, relaxed with GGA-PBE and Cu Kα X-rays.
Lines closer than 0.1° are merged.

Top 10 peaks for 2θ = 10–90°, in order of rising 2θ:
| d [Å] | 2θ/deg | I/Imax |
| --- | --- | --- |
| 3.310 | 26.94 | 23 |
| 3.100 | 28.80 | 26 |
| 2.920 | 30.62 | 100 |
| 2.263 | 39.84 | 16 |
| 1.911 | 47.59 | 20 |
| 1.753 | 52.18 | 22 |
| 1.627 | 56.58 | 23 |
| 1.599 | 57.65 | 17 |
| 1.226 | 77.91 | 14 |
| 1.204 | 79.65 | 9 |

Structure:
```
Eu3Dy
1.0
7.6433 0.0000 0.0000
-3.8216 6.6193 0.0000
0.0000 0.0000 6.2002
Eu Dy
6 2
Direct
0.1696 0.3392 0.2500 Eu
0.1696 0.8304 0.2500 Eu
0.3392 0.1696 0.7500 Eu
0.6608 0.8304 0.2500 Eu
0.8304 0.1696 0.7500 Eu
0.8304 0.6608 0.7500 Eu
0.3333 0.6667 0.7500 Dy
0.6667 0.3333 0.2500 Dy
```

***

# 2
Diffraction record for KEuDySeO6. The X-ray powder pattern is theoretical, not measured: it uses a crystal structure in the Materials Project, relaxed with GGA-PBE and Cu Kα X-rays.
Lines closer than 0.1° are merged.

Top 10 peaks for 2θ = 10–90°, in order of rising 2θ:
| d [Å] | 2θ/deg | I/Imax |
| --- | --- | --- |
| 4.693 | 18.91 | 22 |
| 4.064 | 21.87 | 5 |
| 2.874 | 31.12 | 100 |
| 2.451 | 36.67 | 16 |
| 2.032 | 44.59 | 31 |
| 1.865 | 48.84 | 8 |
| 1.659 | 55.37 | 39 |
| 1.437 | 64.89 | 18 |
| 1.285 | 73.71 | 18 |
| 1.173 | 82.15 | 6 |

Structure:
```
KEuDySeO6
1.0
0.0000 4.0643 4.0643
4.0643 0.0000 4.0643
4.0643 4.0643 0.0000
K Eu Dy Se O
1 1 1 1 6
Direct
0.0000 0.0000 0.0000 K
0.5000 0.5000 0.5000 Eu
0.2500 0.2500 0.2500 Dy
0.7500 0.7500 0.7500 Se
0.5231 0.5231 0.9769 O
0.5231 0.9769 0.5231 O
0.5231 0.9769 0.9769 O
0.9769 0.5231 0.5231 O
0.9769 0.5231 0.9769 O
0.9769 0.9769 0.5231 O
```

***

# 3
Diffraction record for EuDy2O4. The X-ray powder pattern is theoretical, not measured: it uses a crystal structure in the Materials Project, relaxed with GGA-PBE and Cu Kα X-rays.
Lines closer than 0.1° are merged.

Top 10 peaks for 2θ = 10–90°, in order of rising 2θ:
| d [Å] | 2θ/deg | I/Imax |
| --- | --- | --- |
| 3.005 | 29.73 | 49 |
| 2.927 | 30.54 | 100 |
| 2.859 | 31.29 | 66 |
| 2.836 | 31.55 | 33 |
| 2.524 | 35.57 | 20 |
| 2.061 | 43.92 | 38 |
| 2.028 | 44.68 | 18 |
| 1.718 | 53.32 | 36 |
| 1.681 | 54.59 | 16 |
| 1.481 | 62.73 | 27 |

Structure:
```
EuDy2O4
1.0
10.0539 0.0000 0.0000
0.0000 3.4342 0.0000
0.0000 0.0000 12.0200
Eu Dy O
4 8 16
Direct
0.2475 0.2500 0.1478 Eu
0.2525 0.7500 0.6478 Eu
0.7475 0.2500 0.3522 Eu
0.7525 0.7500 0.8522 Eu
0.0741 0.2500 0.8886 Dy
0.0812 0.2500 0.3882 Dy
0.4188 0.7500 0.8882 Dy
0.4259 0.7500 0.3886 Dy
0.5741 0.2500 0.6114 Dy
0.5812 0.2500 0.1118 Dy
0.9188 0.7500 0.6118 Dy
0.9259 0.7500 0.1114 Dy
0.0065 0.7500 0.7858 O
0.0751 0.2500 0.5798 O
0.1291 0.7500 0.0183 O
0.2148 0.7500 0.3225 O
0.2852 0.2500 0.8225 O
0.3709 0.2500 0.5183 O
0.4249 0.7500 0.0798 O
0.4935 0.2500 0.2858 O
0.5065 0.7500 0.7142 O
0.5751 0.2500 0.9202 O
0.6291 0.7500 0.4817 O
0.7148 0.7500 0.1775 O
0.7852 0.2500 0.6775 O
0.8709 0.2500 0.9817 O
0.9249 0.7500 0.4202 O
0.9935 0.2500 0.2142 O
```

***

# 4
Diffraction record for Eu2DySbO6. The X-ray powder pattern is theoretical, not measured: it uses a crystal structure in the Materials Project, relaxed with GGA-PBE and Cu Kα X-rays.
Lines closer than 0.1° are merged.

Top 10 peaks for 2θ = 10–90°, in order of rising 2θ:
| d [Å] | 2θ/deg | I/Imax |
| --- | --- | --- |
| 4.841 | 18.33 | 1 |
| 2.965 | 30.15 | 100 |
| 2.528 | 35.51 | 1 |
| 2.421 | 37.14 | 2 |
| 2.096 | 43.16 | 28 |
| 1.712 | 53.54 | 40 |
| 1.482 | 62.68 | 18 |
| 1.326 | 71.11 | 18 |
| 1.210 | 79.13 | 6 |
| 1.120 | 86.95 | 22 |

Structure:
```
Eu2DySbO6
1.0
0.0000 4.1925 4.1925
4.1925 0.0000 4.1925
4.1925 4.1925 0.0000
Eu Dy Sb O
2 1 1 6
Direct
0.2500 0.2500 0.2500 Eu
0.7500 0.7500 0.7500 Eu
0.0000 0.0000 0.0000 Dy
0.5000 0.5000 0.5000 Sb
0.2627 0.2627 0.7373 O
0.2627 0.7373 0.2627 O
0.2627 0.7373 0.7373 O
0.7373 0.2627 0.2627 O
0.7373 0.2627 0.7373 O
0.7373 0.7373 0.2627 O
```

***

# 5
Diffraction record for Eu2DyTaO6. The X-ray powder pattern is theoretical, not measured: it uses a crystal structure in the Materials Project, relaxed with GGA-PBE and Cu Kα X-rays.
Lines closer than 0.1° are merged.

Top 9 peaks for 2θ = 10–90°, in order of rising 2θ:
| d [Å] | 2θ/deg | I/Imax |
| --- | --- | --- |
| 4.202 | 21.14 | 2 |
| 2.972 | 30.07 | 100 |
| 2.101 | 43.05 | 27 |
| 1.879 | 48.44 | 1 |
| 1.716 | 53.41 | 41 |
| 1.486 | 62.51 | 17 |
| 1.329 | 70.92 | 18 |
| 1.213 | 78.91 | 6 |
| 1.123 | 86.69 | 22 |

Structure:
```
Eu2DyTaO6
1.0
0.0000 4.2023 4.2023
4.2023 0.0000 4.2023
4.2023 4.2023 0.0000
Eu Dy Ta O
2 1 1 6
Direct
0.2500 0.2500 0.2500 Eu
0.7500 0.7500 0.7500 Eu
0.0000 0.0000 0.0000 Dy
0.5000 0.5000 0.5000 Ta
0.2627 0.2627 0.7373 O
0.2627 0.7373 0.2627 O
0.2627 0.7373 0.7373 O
0.7373 0.2627 0.2627 O
0.7373 0.2627 0.7373 O
0.7373 0.7373 0.2627 O
```

***

# 6
Diffraction record for EuDyTi2O7. The X-ray powder pattern is theoretical, not measured: it uses a crystal structure in the Materials Project, relaxed with GGA-PBE and Cu Kα X-rays.
Lines closer than 0.1° are merged.

Top 10 peaks for 2θ = 10–90°, in order of rising 2θ:
| d [Å] | 2θ/deg | I/Imax |
| --- | --- | --- |
| 5.917 | 14.97 | 57 |
| 3.091 | 28.89 | 33 |
| 2.965 | 30.14 | 100 |
| 2.953 | 30.26 | 100 |
| 2.563 | 35.01 | 59 |
| 2.355 | 38.21 | 22 |
| 2.348 | 38.34 | 21 |
| 1.812 | 50.34 | 63 |
| 1.547 | 59.79 | 55 |
| 1.542 | 59.98 | 27 |

Structure:
```
EuDyTi2O7
1.0
-3.6120 3.6335 5.1296
3.6120 -3.6335 5.1296
3.6120 3.6335 -5.1296
Eu Dy Ti O
2 2 4 14
Direct
0.5000 0.0000 0.0000 Eu
0.5000 0.5000 0.5000 Eu
0.0000 0.0000 0.0000 Dy
0.5000 0.0000 0.5000 Dy
0.0000 0.0000 0.5000 Ti
0.0000 0.5000 0.0000 Ti
0.0000 0.5000 0.5000 Ti
0.5000 0.5000 0.0000 Ti
0.0746 0.4194 0.2467 O
0.0746 0.8279 0.6552 O
0.0788 0.8288 0.2500 O
0.3262 0.5762 0.7500 O
0.3273 0.1721 0.7467 O
0.3273 0.5806 0.1552 O
0.3692 0.1192 0.2500 O
0.6308 0.8808 0.7500 O
0.6727 0.4194 0.8448 O
0.6727 0.8279 0.2533 O
0.6738 0.4238 0.2500 O
0.9212 0.1712 0.7500 O
0.9254 0.1721 0.3448 O
0.9254 0.5806 0.7533 O
```

***

# 7
Diffraction record for EuDyTi4O12. The X-ray powder pattern is theoretical, not measured: it uses a crystal structure in the Materials Project, relaxed with GGA-PBE and Cu Kα X-rays.
Lines closer than 0.1° are merged.

Top 10 peaks for 2θ = 10–90°, in order of rising 2θ:
| d [Å] | 2θ/deg | I/Imax |
| --- | --- | --- |
| 4.442 | 19.99 | 100 |
| 2.726 | 32.86 | 25 |
| 2.717 | 32.96 | 55 |
| 2.323 | 38.76 | 32 |
| 2.313 | 38.94 | 18 |
| 2.221 | 40.62 | 13 |
| 1.927 | 47.16 | 21 |
| 1.764 | 51.84 | 15 |
| 1.572 | 58.73 | 21 |
| 1.567 | 58.93 | 11 |

Structure:
```
EuDyTi4O12
1.0
7.7086 0.0000 0.0000
0.0000 3.8315 3.8547
0.0000 -3.8315 3.8547
Eu Dy Ti O
1 1 4 12
Direct
0.0000 0.0000 0.0000 Eu
0.5000 0.5453 0.5453 Dy
0.2504 0.0288 0.5099 Ti
0.2504 0.5099 0.0288 Ti
0.7496 0.0288 0.5099 Ti
0.7496 0.5099 0.0288 Ti
0.0000 0.0473 0.4776 O
0.0000 0.4776 0.0473 O
0.2284 0.7447 0.7447 O
0.2417 0.2329 0.8028 O
0.2417 0.8028 0.2329 O
0.3030 0.3182 0.3182 O
0.5000 0.5317 0.9576 O
0.5000 0.9576 0.5317 O
0.6970 0.3182 0.3182 O
0.7583 0.2329 0.8028 O
0.7583 0.8028 0.2329 O
0.7716 0.7447 0.7447 O
```

***

# 8
Diffraction record for EuDy2S4. The X-ray powder pattern is theoretical, not measured: it uses a crystal structure in the Materials Project, relaxed with GGA-PBE and Cu Kα X-rays.
Lines closer than 0.1° are merged.

Top 10 peaks for 2θ = 10–90°, in order of rising 2θ:
| d [Å] | 2θ/deg | I/Imax |
| --- | --- | --- |
| 3.573 | 24.92 | 42 |
| 3.467 | 25.69 | 100 |
| 3.332 | 26.76 | 64 |
| 3.303 | 27.00 | 34 |
| 2.955 | 30.25 | 34 |
| 2.425 | 37.07 | 38 |
| 1.984 | 45.72 | 39 |
| 1.981 | 45.81 | 26 |
| 1.735 | 52.77 | 26 |
| 1.723 | 53.16 | 29 |

Structure:
```
EuDy2S4
1.0
11.8959 0.0000 0.0000
0.0000 3.9708 0.0000
0.0000 0.0000 14.2921
Eu Dy S
4 8 16
Direct
0.2429 0.2500 0.1626 Eu
0.2571 0.7500 0.6626 Eu
0.7429 0.2500 0.3374 Eu
0.7571 0.7500 0.8374 Eu
0.0697 0.2500 0.3900 Dy
0.0807 0.2500 0.8995 Dy
0.4193 0.7500 0.3995 Dy
0.4303 0.7500 0.8900 Dy
0.5697 0.2500 0.1100 Dy
0.5807 0.2500 0.6005 Dy
0.9193 0.7500 0.1005 Dy
0.9303 0.7500 0.6100 Dy
0.0211 0.7500 0.7842 S
0.0864 0.2500 0.5804 S
0.1337 0.7500 0.0282 S
0.2082 0.7500 0.3211 S
0.2918 0.2500 0.8211 S
0.3663 0.2500 0.5282 S
0.4136 0.7500 0.0804 S
0.4789 0.2500 0.2842 S
0.5211 0.7500 0.7158 S
0.5864 0.2500 0.9196 S
0.6337 0.7500 0.4718 S
0.7082 0.7500 0.1789 S
0.7918 0.2500 0.6789 S
0.8663 0.2500 0.9718 S
0.9136 0.7500 0.4196 S
0.9789 0.2500 0.2158 S
```

***

# 9
Diffraction record for Eu3DySb3. The X-ray powder pattern is theoretical, not measured: it uses a crystal structure in the Materials Project, relaxed with GGA-PBE and Cu Kα X-rays.
Lines closer than 0.1° are merged.

Top 10 peaks for 2θ = 10–90°, in order of rising 2θ:
| d [Å] | 2θ/deg | I/Imax |
| --- | --- | --- |
| 3.058 | 29.20 | 26 |
| 3.044 | 29.34 | 100 |
| 3.028 | 29.50 | 24 |
| 2.590 | 34.63 | 17 |
| 2.580 | 34.77 | 36 |
| 2.565 | 34.98 | 33 |
| 2.554 | 35.14 | 18 |
| 1.975 | 45.95 | 10 |
| 1.884 | 48.32 | 12 |
| 1.522 | 60.85 | 10 |

Structure:
```
Eu3DySb3
1.0
4.8152 -6.7489 0.0000
4.8152 6.7489 0.0000
-4.8011 0.0000 6.8603
Eu Dy Sb
6 2 6
Direct
0.9999 0.0001 0.0000 Eu
0.0001 0.9999 0.5000 Eu
0.1473 0.6489 0.7925 Eu
0.5016 0.8577 0.6491 Eu
0.6489 0.1473 0.2925 Eu
0.8577 0.5016 0.1491 Eu
0.3604 0.5020 0.1478 Dy
0.5020 0.3604 0.6478 Dy
0.1399 0.3774 0.3986 Sb
0.2585 0.8789 0.2765 Sb
0.3774 0.1399 0.8986 Sb
0.6170 0.7360 0.0159 Sb
0.7360 0.6170 0.5159 Sb
0.8789 0.2585 0.7765 Sb
```

***

# 10
Diffraction record for DyHfF7. The X-ray powder pattern is theoretical, not measured: it uses a crystal structure in the Materials Project, relaxed with GGA-PBE and Cu Kα X-rays.
Lines closer than 0.1° are merged.

Top 10 peaks for 2θ = 10–90°, in order of rising 2θ:
| d [Å] | 2θ/deg | I/Imax |
| --- | --- | --- |
| 4.113 | 21.61 | 100 |
| 4.037 | 22.02 | 39 |
| 3.895 | 22.83 | 14 |
| 3.471 | 25.67 | 18 |
| 3.291 | 27.09 | 14 |
| 3.110 | 28.70 | 30 |
| 2.841 | 31.49 | 15 |
| 2.064 | 43.86 | 15 |
| 1.910 | 47.60 | 15 |
| 1.805 | 50.57 | 13 |

Structure:
```
DyHfF7
1.0
6.0899 0.0000 0.0000
0.0000 5.6828 0.0000
-1.6991 0.0000 8.0738
Dy Hf F
2 2 14
Direct
0.1559 0.0000 0.1852 Dy
0.8441 0.5000 0.8148 Dy
0.3116 0.9898 0.7236 Hf
0.6884 0.4898 0.2764 Hf
0.0454 0.2019 0.7132 F
0.0478 0.3098 0.0233 F
0.1218 0.6967 0.7179 F
0.2557 0.9935 0.4771 F
0.3604 0.9862 0.9721 F
0.4265 0.2720 0.2681 F
0.4623 0.7525 0.2604 F
0.5377 0.2525 0.7396 F
0.5735 0.7720 0.7319 F
0.6396 0.4862 0.0279 F
0.7443 0.4935 0.5229 F
0.8782 0.1967 0.2821 F
0.9522 0.8098 0.9767 F
0.9546 0.7019 0.2868 F
```

***

# 11
Diffraction record for KDy2F7. The X-ray powder pattern is theoretical, not measured: it uses a crystal structure in the Materials Project, relaxed with GGA-PBE and Cu Kα X-rays.
Lines closer than 0.1° are merged.

Top 10 peaks for 2θ = 10–90°, in order of rising 2θ:
| d [Å] | 2θ/deg | I/Imax |
| --- | --- | --- |
| 5.906 | 15.00 | 30 |
| 3.364 | 26.49 | 52 |
| 3.336 | 26.72 | 100 |
| 3.282 | 27.17 | 45 |
| 2.953 | 30.27 | 26 |
| 2.850 | 31.38 | 44 |
| 2.070 | 43.72 | 36 |
| 2.032 | 44.60 | 38 |
| 1.770 | 51.64 | 19 |
| 1.733 | 52.83 | 32 |

Structure:
```
KDy2F7
1.0
7.2335 -4.0431 0.0000
7.2335 4.0431 0.0000
-6.9650 0.0000 9.8470
K Dy F
4 8 28
Direct
0.0000 0.0000 0.0000 K
0.0251 0.0251 0.3679 K
0.5020 0.5020 0.3290 K
0.5323 0.5323 0.6932 K
0.0004 0.5257 0.6670 Dy
0.0032 0.5287 0.0290 Dy
0.0051 0.0051 0.6684 Dy
0.0223 0.5032 0.3466 Dy
0.5032 0.0223 0.3466 Dy
0.5229 0.5229 0.0254 Dy
0.5257 0.0004 0.6670 Dy
0.5287 0.0032 0.0290 Dy
0.0963 0.6324 0.2630 F
0.1197 0.6424 0.5837 F
0.1578 0.1578 0.2712 F
0.2575 0.2575 0.6166 F
0.2604 0.5958 0.8479 F
0.2627 0.9182 0.6083 F
0.2664 0.2664 0.0842 F
0.2673 0.6035 0.0857 F
0.2682 0.9363 0.8467 F
0.3670 0.3670 0.4181 F
0.4113 0.8798 0.1103 F
0.4238 0.9003 0.4318 F
0.5864 0.9446 0.8482 F
0.5958 0.2604 0.8479 F
0.6035 0.2673 0.0857 F
0.6324 0.0963 0.2630 F
0.6424 0.1197 0.5837 F
0.6512 0.6512 0.9650 F
0.6567 0.6567 0.2603 F
0.6616 0.6616 0.5976 F
0.8673 0.8673 0.4352 F
0.8684 0.8684 0.0963 F
0.8780 0.8780 0.7277 F
0.8798 0.4113 0.1103 F
0.9003 0.4238 0.4318 F
0.9182 0.2627 0.6083 F
0.9363 0.2682 0.8467 F
0.9446 0.5864 0.8482 F
```